Entry 1:
Starting from the GGA-PBE geometry in Alexandria, the XRD peak list of MnV4C was simulated for copper Kα.

Main lines, sorted by position (2θ from 10° to 90°):
| 2theta | intensity | index |
| --- | --- | --- |
| 37.1 | 55 | 1 1 -2 |
| 39.4 | 84 | 1 0 2 |
| 39.6 | 100 | 2 1 -1 |
| 39.7 | 64 | 2 1 0 |
| 40.5 | 81 | 0 2 1 |
| 50.5 | 64 | 1 1 -3 |

Structural model:
```
data_MnV4C
_chemical_formula_sum 'Mn2 V8 C2'
_cell_length_a 5.2896
_cell_length_b 4.8310
_cell_length_c 5.9023
_cell_angle_alpha 90.00
_cell_angle_beta 103.48
_cell_angle_gamma 90.00
_symmetry_space_group_name_H-M 'P 1 21/c 1'
_symmetry_Int_Tables_number 14
_symmetry_space_group_name_Hall '-P 2ybc'
loop_
_atom_site_label
_atom_site_fract_x
_atom_site_fract_y
_atom_site_fract_z
Mn1 0.0000 0.0000 0.0000
V1 0.1403 0.1037 0.3712
V2 0.3968 0.6515 0.3016
C1 0.5000 0.0000 0.5000
```


Entry 2:
Starting from the GGA-PBE geometry in Alexandria, the XRD peak list of Mn3V3C was simulated for copper Kα.

Main lines, sorted by position (2θ from 10° to 90°):
| 2theta | intensity | index |
| --- | --- | --- |
| 14.2 | 14 | 1 1 1 |
| 40.8 | 30 | 4 2 2 |
| 43.4 | 100 | 3 3 3 |
| 47.5 | 29 | 4 4 0 |
| 50.6 | 12 | 4 4 2 |
| 74.4 | 27 | 6 6 0 |

Structural model:
abc: 10.8222 10.8222 10.8222
angles: 90.00 90.00 90.00
Space group Fd-3m (No. 227, origin choice 2)
One atom of each set of equivalent atoms:
Mn (0.0000, 0.0000, 0.0000)
Mn (0.0433, 0.0433, 0.2067)
V (0.0660, 0.3750, 0.8750)
C (0.0000, 0.0000, 0.5000)


Entry 3:
Starting from the GGA-PBE geometry in Alexandria, the XRD peak list of Y2Mn2C3 was simulated for copper Kα.

Main lines, sorted by position (2θ from 10° to 90°):
| 2theta | intensity | index |
| --- | --- | --- |
| 27.7 | 25 | 2 0 1 |
| 33.8 | 100 | 1 1 1 |
| 36.6 | 20 | 4 0 0 |
| 38.7 | 57 | 3 1 -1 |
| 42.6 | 13 | 2 0 2 |
| 53.9 | 23 | 0 2 0 |

Structural model:
```
data_Y2Mn2C3
_chemical_formula_sum 'Y4 Mn4 C6'
_cell_length_a 10.1652
_cell_length_b 3.4026
_cell_length_c 5.5192
_cell_angle_alpha 90.00
_cell_angle_beta 105.13
_cell_angle_gamma 90.00
_symmetry_space_group_name_H-M 'C 1 2/m 1'
_symmetry_Int_Tables_number 12
_symmetry_space_group_name_Hall '-C 2y'
loop_
_atom_site_label
_atom_site_fract_x
_atom_site_fract_y
_atom_site_fract_z
Y1 0.1055 0.0000 0.3161
Mn1 0.1573 0.5000 0.8941
C1 0.0000 0.5000 0.0000
C2 0.2086 0.0000 0.7758
```


Entry 4:
Starting from the GGA-PBE geometry in Alexandria, the XRD peak list of Y2Mn17C2 was simulated for copper Kα.

Main lines, sorted by position (2θ from 10° to 90°):
| 2theta | intensity | index |
| --- | --- | --- |
| 36.2 | 40 | 1 3 1 |
| 42.1 | 100 | 0 4 0 |
| 42.6 | 56 | 0 0 3 |
| 42.7 | 61 | 3 3 0 |
| 44.3 | 56 | 4 0 -2 |
| 47.8 | 36 | 0 2 3 |

Structural model:
```
data_Y2Mn17C2
_chemical_formula_sum 'Y4 Mn34 C4'
_cell_length_a 9.5446
_cell_length_b 8.5846
_cell_length_c 6.4387
_cell_angle_alpha 90.00
_cell_angle_beta 98.31
_cell_angle_gamma 90.00
_symmetry_space_group_name_H-M 'C 1 2/m 1'
_symmetry_Int_Tables_number 12
_symmetry_space_group_name_Hall '-C 2y'
loop_
_atom_site_label
_atom_site_fract_x
_atom_site_fract_y
_atom_site_fract_z
Y1 0.1480 0.0000 0.3505
Mn1 0.0000 0.2242 0.0000
Mn2 0.0000 0.5000 0.5000
Mn3 0.0955 0.5000 0.9018
Mn4 0.0988 0.2624 0.6615
Mn5 0.1436 0.3614 0.2793
Mn6 0.1493 0.0000 0.8746
Mn7 0.2500 0.2500 0.0000
C1 0.2500 0.2500 0.5000
```